Entry 1:
The following is a computed powder diffractogram of AcZn11Ag. It was derived from a structure optimized by DFT (PBE), using Cu Kα (λ = 1.5418 Å).

Principal peaks in the range 15° ≤ 2θ ≤ 90°, in order of rising 2θ:
h k l  2θ/deg  I (rel.)
1 3 0  27.3  35
1 1 -2  27.6  24
1 3 -2  33.8  28
2 2 0  38.9  78
2 2 -2  39.1  67
0 4 2  39.3  100
1 1 -3  39.5  21
2 0 1  43.8  21

a = 5.3453 Å, b = 13.0613 Å, c = 6.9682 Å
α = 90.00°, β = 112.16°, γ = 90.00°
Space group C2/m (No. 12)
One atom of each set of equivalent atoms:
Ac (0.0000, 0.0000, 0.0000) x2
Zn (0.0000, 0.5000, 0.5000) x2
Zn (0.1094, 0.3826, 0.2290) x8
Zn (0.1791, 0.1806, 0.3573) x8
Zn (0.2500, 0.2500, 0.0000) x4
Ag (0.0000, 0.0000, 0.5000) x2

---

Entry 2:
The following is a computed powder diffractogram of U2GaTc2. It was derived from a structure optimized by DFT (PBE), using Cu Kα (λ = 1.5418 Å).

Principal peaks in the range 15° ≤ 2θ ≤ 90°, in order of rising 2θ:
h k l  2θ/deg  I (rel.)
3 1 0  26.5  46
4 0 0  26.8  84
0 0 2  33.0  49
2 0 2  37.8  57
4 0 -2  39.3  74
2 2 -1  40.1  100
6 0 0  40.7  33
2 2 1  42.0  55

a = 13.4876 Å, b = 5.1533 Å, c = 5.4987 Å
α = 90.00°, β = 99.25°, γ = 90.00°
Space group C2/c (No. 15)
One atom of each set of equivalent atoms:
U (0.1388, 0.0897, 0.0501) x8
Ga (0.0000, 0.4911, 0.2500) x4
Tc (0.1650, 0.4006, 0.5592) x8

---

Entry 3:
The following is a computed powder diffractogram of CePm8Nd6. It was derived from a structure optimized by DFT (PBE), using Cu Kα (λ = 1.5418 Å).

Principal peaks in the range 15° ≤ 2θ ≤ 90°, in order of rising 2θ:
h k l  2θ/deg  I (rel.)
3 -1 1  29.7  43
3 -2 2  30.6  100
2 0 5  30.8  69
1 0 7  31.8  50
1 1 6  32.0  19
2 1 4  34.1  18
0 3 3  35.9  25
5 -1 3  53.9  22

a = 9.2787 Å, b = 9.2787 Å, c = 21.0390 Å
α = 90.00°, β = 90.00°, γ = 120.00°
Space group R-3 (No. 148, hexagonal axes)
One atom of each set of equivalent atoms:
Ce (0.0000, 0.0000, 0.0000) x3
Pm (0.0000, 0.0000, 0.4227) x6
Pm (0.0806, 0.5598, 0.8057) x18
Nd (0.0573, 0.2484, 0.7080) x18

---

Entry 4:
The following is a computed powder diffractogram of ErNpMn17. It was derived from a structure optimized by DFT (PBE), using Cu Kα (λ = 1.5418 Å).

Principal peaks in the range 15° ≤ 2θ ≤ 90°, in order of rising 2θ:
h k l  2θ/deg  I (rel.)
1 1 3  31.2  58
2 1 1  32.8  35
3 0 0  36.3  54
0 2 4  39.5  70
2 2 0  42.1  91
3 0 3  43.4  100
2 1 4  45.0  42
1 4 3  62.1  32

a = 8.5756 Å, b = 8.5756 Å, c = 11.5645 Å
α = 90.00°, β = 90.00°, γ = 120.00°
Space group R3m (No. 160, hexagonal axes)
One atom of each set of equivalent atoms:
Er (0.0000, 0.0000, 0.0000) x3
Np (0.0000, 0.0000, 0.7116) x3
Mn (0.0000, 0.0000, 0.2527) x3
Mn (0.0000, 0.0000, 0.4537) x3
Mn (0.0003, 0.2740, 0.3515) x18
Mn (0.0001, 0.5000, 0.4872) x9
Mn (0.0033, 0.5017, 0.8504) x9
Mn (0.0216, 0.5108, 0.2222) x9

---

Q: Number 2 is which compound?
A: U2GaTc2